Entry 1:
Theoretical powder X-ray diffraction pattern of Pr2Ni3Ge5 for Cu Kα (weighted mean of Kα1 and Kα2), from DFT lattice parameters and positions (GGA-PBE).
No peak broadening, texture or thermal motion is included.

Largest 12 diffraction maxima, sorted by position, 10° ≤ 2θ ≤ 80°:
- d 2.967, 30.12°, I 149, hkl 0 0 2
- d 2.571, 34.89°, I 1000, hkl 3 2 1
- d 2.538, 35.37°, I 1000, hkl 2 0 2
- d 2.520, 35.63°, I 867, hkl 2 4 0
- d 2.088, 43.33°, I 986, hkl 0 4 2
- d 1.773, 51.56°, I 374, hkl 5 2 1
- d 1.626, 56.62°, I 242, hkl 3 2 3
- d 1.616, 56.97°, I 227, hkl 3 6 1
- d 1.484, 62.61°, I 174, hkl 0 0 4
- d 1.354, 69.41°, I 151, hkl 5 2 3
- d 1.278, 74.17°, I 198, hkl 2 4 4
- d 1.272, 74.63°, I 165, hkl 2 8 2

Lattice parameters (Å, degrees): 9.7889 11.7564 5.9345 90.00 90.00 90.00
Space group Ibam (No. 72)
Asymmetric unit:
Pr 0.2407 0.1332 0.0000
Ni 0.0000 0.5000 0.2500
Ni 0.1120 0.1306 0.5000
Ge 0.0000 0.0000 0.2500
Ge 0.0000 0.2580 0.2500
Ge 0.1512 0.3977 0.0000



Entry 2:
Theoretical powder X-ray diffraction pattern of PrNiGe2 for Cu Kα (weighted mean of Kα1 and Kα2), from DFT lattice parameters and positions (GGA-PBE).
No peak broadening, texture or thermal motion is included.

Largest 12 diffraction maxima, sorted by position, 10° ≤ 2θ ≤ 80°:
- d 2.961, 30.18°, I 209, hkl 1 1 1
- d 2.648, 33.85°, I 1000, hkl 1 3 1
- d 2.633, 34.05°, I 387, hkl 1 5 0
- d 2.332, 38.61°, I 309, hkl 0 6 1
- d 2.132, 42.40°, I 302, hkl 2 0 0
- d 2.123, 42.58°, I 299, hkl 0 0 2
- d 1.877, 48.50°, I 115, hkl 0 8 1
- d 1.705, 53.77°, I 131, hkl 1 9 0
- d 1.653, 55.60°, I 185, hkl 1 5 2
- d 1.573, 58.68°, I 178, hkl 2 6 1
- d 1.504, 61.66°, I 194, hkl 2 0 2
- d 1.329, 70.89°, I 112, hkl 1 9 2

Lattice parameters (Å, degrees): 4.2635 16.7414 4.2465 90.00 90.00 90.00
Space group Cmcm (No. 63)
Asymmetric unit:
Pr 0.0000 0.1085 0.2500
Ni 0.0000 0.3184 0.2500
Ge 0.0000 0.2506 0.7500
Ge 0.0000 0.4576 0.2500



Entry 3:
Theoretical powder X-ray diffraction pattern of PrNiGe for Cu Kα (weighted mean of Kα1 and Kα2), from DFT lattice parameters and positions (GGA-PBE).
No peak broadening, texture or thermal motion is included.

Largest 12 diffraction maxima, sorted by position, 10° ≤ 2θ ≤ 80°:
- d 3.757, 23.68°, I 157, hkl 0 1 1
- d 2.638, 33.99°, I 701, hkl 1 1 2
- d 2.614, 34.30°, I 1000, hkl 2 1 1
- d 2.604, 34.44°, I 318, hkl 2 0 2
- d 2.351, 38.28°, I 188, hkl 1 0 3
- d 2.307, 39.04°, I 271, hkl 3 0 1
- d 2.175, 41.52°, I 385, hkl 0 2 0
- d 2.157, 41.88°, I 403, hkl 0 1 3
- d 1.669, 55.03°, I 230, hkl 2 2 2
- d 1.637, 56.19°, I 214, hkl 4 1 1
- d 1.583, 58.30°, I 162, hkl 3 2 1
- d 1.399, 66.86°, I 253, hkl 3 1 4

Lattice parameters (Å, degrees): 7.2794 4.3500 7.4529 90.00 90.00 90.00
Space group Pnma (No. 62)
Asymmetric unit:
Pr 0.0127 0.2500 0.1942
Ni 0.1492 0.7500 0.4273
Ge 0.1987 0.2500 0.5967



Entry 4:
Theoretical powder X-ray diffraction pattern of Pr2NiGe6 for Cu Kα (weighted mean of Kα1 and Kα2), from DFT lattice parameters and positions (GGA-PBE).
No peak broadening, texture or thermal motion is included.

Largest 12 diffraction maxima, sorted by position, 10° ≤ 2θ ≤ 80°:
- d 3.584, 24.84°, I 100, hkl 0 1 3
- d 2.754, 32.51°, I 373, hkl 0 0 8
- d 2.717, 32.97°, I 1000, hkl 1 1 3
- d 2.498, 35.95°, I 110, hkl 0 1 7
- d 2.437, 36.89°, I 190, hkl 1 1 5
- d 2.142, 42.18°, I 101, hkl 1 1 7
- d 2.103, 43.02°, I 182, hkl 0 1 9
- d 2.083, 43.44°, I 242, hkl 2 0 0
- d 2.053, 44.10°, I 231, hkl 0 2 0
- d 1.646, 55.85°, I 158, hkl 0 2 8
- d 1.480, 62.80°, I 116, hkl 2 1 9
- d 1.462, 63.63°, I 152, hkl 2 2 0

Lattice parameters (Å, degrees): 4.1659 4.1070 22.0288 90.00 90.00 90.00
Space group Amm2 (No. 38)
Asymmetric unit:
Pr 0.0000 0.0000 0.0000
Pr 0.0000 0.0000 0.3342
Ni 0.5000 0.0000 0.5589
Ge 0.0000 0.0000 0.6130
Ge 0.0000 0.0000 0.7261
Ge 0.5000 0.0000 0.1135
Ge 0.5000 0.0000 0.2277
Ge 0.5000 0.0000 0.4521
Ge 0.5000 0.0000 0.8816



Entry 5:
Theoretical powder X-ray diffraction pattern of Pr3NiGe2 for Cu Kα (weighted mean of Kα1 and Kα2), from DFT lattice parameters and positions (GGA-PBE).
No peak broadening, texture or thermal motion is included.

Largest 12 diffraction maxima, sorted by position, 10° ≤ 2θ ≤ 80°:
- d 3.350, 26.61°, I 411, hkl 2 1 1
- d 3.291, 27.09°, I 435, hkl 3 0 2
- d 3.005, 29.73°, I 566, hkl 2 1 2
- d 2.903, 30.80°, I 1000, hkl 0 1 3
- d 2.887, 30.97°, I 366, hkl 4 0 1
- d 2.855, 31.33°, I 394, hkl 1 0 4
- d 2.837, 31.54°, I 456, hkl 3 1 1
- d 2.820, 31.72°, I 305, hkl 1 1 3
- d 2.618, 34.26°, I 758, hkl 3 1 2
- d 2.400, 37.47°, I 446, hkl 4 1 1
- d 2.251, 40.06°, I 303, hkl 2 1 4
- d 2.159, 41.84°, I 633, hkl 0 2 0

Lattice parameters (Å, degrees): 11.9136 4.3186 11.7633 90.00 90.00 90.00
Space group Pnma (No. 62)
Asymmetric unit:
Pr 0.0584 0.2500 0.1256
Pr 0.1166 0.7500 0.5576
Pr 0.2158 0.2500 0.8034
Ni 0.1298 0.2500 0.3663
Ge 0.0247 0.7500 0.3128
Ge 0.1967 0.7500 0.9945



Entry 6:
Theoretical powder X-ray diffraction pattern of NiGePt2 for Cu Kα (weighted mean of Kα1 and Kα2), from DFT lattice parameters and positions (GGA-PBE).
No peak broadening, texture or thermal motion is included.

Largest 12 diffraction maxima, sorted by position, 10° ≤ 2θ ≤ 80°:
- d 3.711, 23.98°, I 178, hkl 2 0 0
- d 2.772, 32.29°, I 273, hkl 0 2 2
- d 2.259, 39.90°, I 166, hkl 3 1 1
- d 2.221, 40.62°, I 1000, hkl 2 2 2
- d 1.978, 45.88°, I 213, hkl 0 0 4
- d 1.943, 46.75°, I 175, hkl 0 4 0
- d 1.855, 49.10°, I 95, hkl 4 0 0
- d 1.745, 52.43°, I 83, hkl 2 0 4
- d 1.721, 53.21°, I 64, hkl 2 4 0
- d 1.386, 67.58°, I 114, hkl 0 4 4
- d 1.298, 72.84°, I 98, hkl 2 4 4
- d 1.271, 74.68°, I 70, hkl 5 3 1

Lattice parameters (Å, degrees): 7.4215 7.7727 7.9121 90.00 90.00 90.00
Space group Fmmm (No. 69)
Asymmetric unit:
Ni 0.0000 0.2014 0.0000
Ge 0.0000 0.0000 0.2326
Pt 0.1980 0.0000 0.5000
Pt 0.2500 0.2500 0.2500



Entry 7:
Theoretical powder X-ray diffraction pattern of Ni4GePt5 for Cu Kα (weighted mean of Kα1 and Kα2), from DFT lattice parameters and positions (GGA-PBE).
No peak broadening, texture or thermal motion is included.

Largest 11 diffraction maxima, sorted by position, 10° ≤ 2θ ≤ 80°:
- d 3.573, 24.92°, I 210, hkl 0 0 5
- d 2.777, 32.23°, I 221, hkl 1 0 0
- d 2.193, 41.17°, I 1000, hkl 1 0 5
- d 1.964, 46.23°, I 359, hkl 1 1 0
- d 1.786, 51.14°, I 133, hkl 0 0 10
- d 1.721, 53.23°, I 115, hkl 1 1 5
- d 1.502, 61.75°, I 76, hkl 1 0 10
- d 1.389, 67.45°, I 115, hkl 2 0 0
- d 1.321, 71.38°, I 194, hkl 1 1 10
- d 1.294, 73.12°, I 47, hkl 2 0 5
- d 1.242, 76.74°, I 42, hkl 2 1 0

Lattice parameters (Å, degrees): 2.7772 2.7772 17.8627 90.00 90.00 90.00
Space group P4/mmm (No. 123)
Asymmetric unit:
Ni 0.0000 0.0000 0.1001
Ni 0.0000 0.0000 0.2974
Ge 0.0000 0.0000 0.5000
Pt 0.5000 0.5000 0.0000
Pt 0.5000 0.5000 0.1996
Pt 0.5000 0.5000 0.3991



Entry 8:
Theoretical powder X-ray diffraction pattern of Sc3Ni4Ge4 for Cu Kα (weighted mean of Kα1 and Kα2), from DFT lattice parameters and positions (GGA-PBE).
No peak broadening, texture or thermal motion is included.

Largest 12 diffraction maxima, sorted by position, 10° ≤ 2θ ≤ 80°:
- d 6.478, 13.67°, I 248, hkl 0 0 2
- d 3.751, 23.72°, I 205, hkl 1 0 1
- d 2.485, 36.14°, I 1000, hkl 1 2 1
- d 2.414, 37.25°, I 232, hkl 0 1 5
- d 2.337, 38.53°, I 689, hkl 1 1 4
- d 2.184, 41.33°, I 206, hkl 1 2 3
- d 2.160, 41.81°, I 361, hkl 0 0 6
- d 1.969, 46.11°, I 282, hkl 0 3 3
- d 1.959, 46.34°, I 494, hkl 2 0 0
- d 1.846, 49.36°, I 437, hkl 1 3 2
- d 1.811, 50.40°, I 622, hkl 1 2 5
- d 1.389, 67.44°, I 165, hkl 2 3 3

Lattice parameters (Å, degrees): 3.9187 6.6358 12.9565 90.00 90.00 90.00
Space group Immm (No. 71)
Asymmetric unit:
Sc 0.0000 0.0000 0.0000
Sc 0.0000 0.5000 0.1265
Ni 0.0000 0.3035 0.3227
Ge 0.0000 0.0000 0.2188
Ge 0.0000 0.1957 0.5000



Entry 9:
Theoretical powder X-ray diffraction pattern of Sc3Ni11Ge4 for Cu Kα (weighted mean of Kα1 and Kα2), from DFT lattice parameters and positions (GGA-PBE).
No peak broadening, texture or thermal motion is included.

Largest 12 diffraction maxima, sorted by position, 10° ≤ 2θ ≤ 80°:
- d 5.382, 16.47°, I 257, hkl 1 0 1
- d 3.610, 24.66°, I 116, hkl 1 0 2
- d 2.247, 40.14°, I 354, hkl 3 0 1
- d 2.239, 40.28°, I 438, hkl 2 1 2
- d 2.190, 41.22°, I 685, hkl 2 0 3
- d 2.107, 42.92°, I 112, hkl 0 0 4
- d 2.018, 44.91°, I 1000, hkl 2 2 0
- d 1.925, 47.21°, I 240, hkl 2 1 3
- d 1.821, 50.11°, I 248, hkl 2 2 2
- d 1.805, 50.57°, I 279, hkl 2 0 4
- d 1.762, 51.90°, I 280, hkl 3 1 2
- d 1.276, 74.31°, I 104, hkl 3 2 4

Lattice parameters (Å, degrees): 8.0742 8.0742 8.4293 90.00 90.00 120.00
Space group P6_3/mmc (No. 194)
Asymmetric unit:
Sc 0.1967 0.3934 0.2500
Ni 0.1281 0.5641 0.7500
Ni 0.1541 0.3081 0.5933
Ni 0.3333 0.6667 0.0052
Ge 0.0000 0.0000 0.2500
Ge 0.0000 0.5000 0.0000



Entry 10:
Theoretical powder X-ray diffraction pattern of ScNiGe for Cu Kα (weighted mean of Kα1 and Kα2), from DFT lattice parameters and positions (GGA-PBE).
No peak broadening, texture or thermal motion is included.

Largest 12 diffraction maxima, sorted by position, 10° ≤ 2θ ≤ 80°:
- d 4.781, 18.56°, I 157, hkl 1 0 1
- d 3.238, 27.54°, I 170, hkl 2 0 0
- d 2.475, 36.30°, I 309, hkl 1 1 2
- d 2.390, 37.63°, I 977, hkl 2 1 1
- d 2.065, 43.84°, I 287, hkl 3 0 1
- d 2.045, 44.29°, I 1000, hkl 0 2 0
- d 1.729, 52.95°, I 215, hkl 2 1 3
- d 1.681, 54.60°, I 147, hkl 3 1 2
- d 1.554, 59.48°, I 192, hkl 2 2 2
- d 1.453, 64.08°, I 171, hkl 3 2 1
- d 1.299, 72.83°, I 163, hkl 3 1 4
- d 1.237, 77.08°, I 151, hkl 2 3 1

Lattice parameters (Å, degrees): 6.4769 4.0898 7.0870 90.00 90.00 90.00
Space group Pnma (No. 62)
Asymmetric unit:
Sc 0.0049 0.2500 0.2071
Ni 0.1869 0.7500 0.4217
Ge 0.2060 0.2500 0.5939



Entry 11:
Theoretical powder X-ray diffraction pattern of Sc6Ni16Ge7 for Cu Kα (weighted mean of Kα1 and Kα2), from DFT lattice parameters and positions (GGA-PBE).
No peak broadening, texture or thermal motion is included.

Largest 12 diffraction maxima, sorted by position, 10° ≤ 2θ ≤ 80°:
- d 6.715, 13.18°, I 168, hkl 1 1 1
- d 5.815, 15.24°, I 189, hkl 2 0 0
- d 3.358, 26.55°, I 72, hkl 2 2 2
- d 2.374, 37.90°, I 115, hkl 4 2 2
- d 2.238, 40.29°, I 406, hkl 3 3 3
- d 2.056, 44.04°, I 1000, hkl 4 4 0
- d 1.966, 46.17°, I 273, hkl 5 3 1
- d 1.839, 49.57°, I 93, hkl 6 2 0
- d 1.774, 51.53°, I 84, hkl 5 3 3
- d 1.753, 52.17°, I 194, hkl 6 2 2
- d 1.371, 68.45°, I 79, hkl 6 6 0
- d 1.277, 74.29°, I 94, hkl 7 5 3

Lattice parameters (Å, degrees): 11.6309 11.6309 11.6309 90.00 90.00 90.00
Space group Fm-3m (No. 225)
Asymmetric unit:
Sc 0.0000 0.0000 0.2071
Ni 0.1195 0.1195 0.3805
Ni 0.1691 0.1691 0.1691
Ge 0.0000 0.0000 0.5000
Ge 0.0000 0.2500 0.2500